# 1
Diffraction record for LaCd2As2. The X-ray powder pattern is theoretical, not measured: it uses the GGA-PBE geometry in OQMD and a wavelength of 1.5418 Å.
Peak positions follow from Bragg's law for the DFT cell and can differ from measured ones.

Structure:
a b c (Å): 5.7698 10.3256 4.2574
angles (deg): 90.00 90.00 90.00
Sites, in units of the cell vectors:
La 0.0000 0.0000 0.0000
La 0.5000 0.5000 0.0000
Cd 0.2488 0.2474 0.5000
Cd 0.2512 0.7474 0.5000
Cd 0.7488 0.2526 0.5000
Cd 0.7512 0.7526 0.5000
As 0.0008 0.3793 0.0000
As 0.4992 0.8793 0.0000
As 0.5008 0.1207 0.0000
As 0.9992 0.6207 0.0000

Peak list (6 most intense, 10° ≤ 2θ ≤ 90°, low angle first)
- 27.1 deg, I 1000
- 30.2 deg, I 303
- 35.7 deg, I 486
- 37.0 deg, I 351
- 37.7 deg, I 808
- 42.5 deg, I 287



# 2
Diffraction record for MgCdAs2. The X-ray powder pattern is theoretical, not measured: it uses the GGA-PBE geometry in OQMD and a wavelength of 1.5418 Å.
Peak positions follow from Bragg's law for the DFT cell and can differ from measured ones.

Structure:
a b c (Å): 6.4175 6.4175 10.6681
angles (deg): 90.00 90.00 90.00
Sites, in units of the cell vectors:
Mg 0.0000 0.0000 0.0000
Mg 0.0000 0.5000 0.2500
Mg 0.5000 0.0000 0.7500
Mg 0.5000 0.5000 0.5000
Cd 0.0000 0.0000 0.5000
Cd 0.0000 0.5000 0.7500
Cd 0.5000 0.0000 0.2500
Cd 0.5000 0.5000 0.0000
As 0.2485 0.7500 0.1250
As 0.2500 0.2485 0.8750
As 0.2500 0.2515 0.3750
As 0.2515 0.7500 0.6250
As 0.7485 0.2500 0.6250
As 0.7500 0.7485 0.3750
As 0.7500 0.7515 0.8750
As 0.7515 0.2500 0.1250

Peak list (6 most intense, 10° ≤ 2θ ≤ 90°, low angle first)
- 16.1 deg, I 260
- 25.8 deg, I 1000
- 39.7 deg, I 311
- 44.2 deg, I 458
- 48.0 deg, I 358
- 75.2 deg, I 181



# 3
Diffraction record for Rb2MgCdAs2. The X-ray powder pattern is theoretical, not measured: it uses the GGA-PBE geometry in OQMD and a wavelength of 1.5418 Å.
Peak positions follow from Bragg's law for the DFT cell and can differ from measured ones.

Structure:
a b c (Å): 4.6346 4.6346 8.2847
angles (deg): 90.00 90.00 90.00
Sites, in units of the cell vectors:
Rb 0.0000 0.5000 0.1492
Rb 0.5000 0.0000 0.8508
Mg 0.0000 0.0000 0.5000
Cd 0.5000 0.5000 0.5000
As 0.0000 0.5000 0.6890
As 0.5000 0.0000 0.3110

Peak list (6 most intense, 10° ≤ 2θ ≤ 90°, low angle first)
- 10.7 deg, I 291
- 28.9 deg, I 1000
- 29.3 deg, I 403
- 34.9 deg, I 677
- 38.9 deg, I 594
- 49.2 deg, I 446



# 4
Diffraction record for Cd2Mo2AsP3. The X-ray powder pattern is theoretical, not measured: it uses the GGA-PBE geometry in OQMD and a wavelength of 1.5418 Å.
Peak positions follow from Bragg's law for the DFT cell and can differ from measured ones.

Structure:
a b c (Å): 12.4212 5.8520 5.8665
angles (deg): 90.00 117.14 90.00
Sites, in units of the cell vectors:
Cd 0.1300 0.0000 0.3696
Cd 0.3700 0.5000 0.6304
Cd 0.6300 0.5000 0.3696
Cd 0.8700 0.0000 0.6304
Mo 0.1293 0.5173 0.8843
Mo 0.3707 0.0173 0.1157
Mo 0.6293 0.0173 0.8843
Mo 0.8707 0.5173 0.1157
As 0.0000 0.3032 0.5000
As 0.5000 0.8032 0.5000
P 0.0000 0.7153 0.0000
P 0.2502 0.2668 0.2063
P 0.2498 0.7668 0.7937
P 0.5000 0.2153 0.0000
P 0.7498 0.2668 0.7937
P 0.7502 0.7668 0.2063

Peak list (6 most intense, 10° ≤ 2θ ≤ 90°, low angle first)
- 26.7 deg, I 906
- 27.1 deg, I 1000
- 30.5 deg, I 235
- 43.7 deg, I 389
- 45.1 deg, I 358
- 52.3 deg, I 234



# 5
Diffraction record for Cd2Mo2As3P. The X-ray powder pattern is theoretical, not measured: it uses the GGA-PBE geometry in OQMD and a wavelength of 1.5418 Å.
Peak positions follow from Bragg's law for the DFT cell and can differ from measured ones.

Structure:
a b c (Å): 12.7786 5.9487 5.9751
angles (deg): 90.00 116.78 90.00
Sites, in units of the cell vectors:
Cd 0.1200 0.0000 0.3603
Cd 0.3800 0.5000 0.6397
Cd 0.6200 0.5000 0.3603
Cd 0.8800 0.0000 0.6397
Mo 0.1215 0.4838 0.8770
Mo 0.3785 0.9838 0.1230
Mo 0.6215 0.9838 0.8770
Mo 0.8785 0.4838 0.1230
As 0.0000 0.6972 0.5000
As 0.2497 0.2339 0.7895
As 0.2503 0.7339 0.2105
As 0.5000 0.1972 0.5000
As 0.7503 0.2339 0.2105
As 0.7497 0.7339 0.7895
P 0.0000 0.2844 0.0000
P 0.5000 0.7844 0.0000

Peak list (6 most intense, 10° ≤ 2θ ≤ 90°, low angle first)
- 26.1 deg, I 887
- 26.5 deg, I 1000
- 42.9 deg, I 424
- 43.5 deg, I 213
- 44.0 deg, I 417
- 51.2 deg, I 226



# 6
Diffraction record for NaCdAsS3. The X-ray powder pattern is theoretical, not measured: it uses the GGA-PBE geometry in OQMD and a wavelength of 1.5418 Å.
Peak positions follow from Bragg's law for the DFT cell and can differ from measured ones.

Structure:
a b c (Å): 5.7039 16.6085 8.0505
angles (deg): 90.00 134.39 90.00
Sites, in units of the cell vectors:
Na 0.2008 0.0746 0.2337
Na 0.2008 0.4254 0.7337
Na 0.7992 0.5746 0.2663
Na 0.7992 0.9254 0.7663
Cd 0.2450 0.7492 0.7459
Cd 0.2450 0.7508 0.2459
Cd 0.7550 0.2492 0.7541
Cd 0.7550 0.2508 0.2541
As 0.2787 0.0992 0.7683
As 0.2787 0.4008 0.2683
As 0.7213 0.5992 0.7317
As 0.7213 0.9008 0.2317
S 0.1847 0.2368 0.7168
S 0.1847 0.2632 0.2168
S 0.3632 0.5960 0.7735
S 0.3632 0.9040 0.2735
S 0.3709 0.5985 0.3376
S 0.3709 0.9015 0.8376
S 0.6291 0.0985 0.1624
S 0.6291 0.4015 0.6624
S 0.6368 0.0960 0.7265
S 0.6368 0.4040 0.2265
S 0.8153 0.7368 0.7832
S 0.8153 0.7632 0.2832

Peak list (6 most intense, 10° ≤ 2θ ≤ 90°, low angle first)
- 10.7 deg, I 971
- 27.2 deg, I 527
- 31.1 deg, I 1000
- 31.4 deg, I 887
- 32.3 deg, I 812
- 45.5 deg, I 514



# 7
Diffraction record for NaZn2Cd2As3. The X-ray powder pattern is theoretical, not measured: it uses the GGA-PBE geometry in OQMD and a wavelength of 1.5418 Å.
Peak positions follow from Bragg's law for the DFT cell and can differ from measured ones.

Structure:
a b c (Å): 12.0965 12.0965 12.0965
angles (deg): 20.25 20.25 20.25
Sites, in units of the cell vectors:
Na 0.0000 0.0000 0.0000
Zn 0.3984 0.3984 0.3984
Zn 0.6016 0.6016 0.6016
Cd 0.2025 0.2025 0.2025
Cd 0.7975 0.7975 0.7975
As 0.2783 0.2783 0.2783
As 0.5000 0.5000 0.5000
As 0.7217 0.7217 0.7217

Peak list (6 most intense, 10° ≤ 2θ ≤ 90°, low angle first)
- 24.7 deg, I 364
- 26.2 deg, I 294
- 27.3 deg, I 305
- 35.1 deg, I 1000
- 42.5 deg, I 908
- 58.3 deg, I 251



# 8
Diffraction record for NaZn2Cd2As3. The X-ray powder pattern is theoretical, not measured: it uses the GGA-PBE geometry in OQMD and a wavelength of 1.5418 Å.
Peak positions follow from Bragg's law for the DFT cell and can differ from measured ones.

Structure:
a b c (Å): 11.1495 11.1495 11.1495
angles (deg): 22.96 22.96 22.96
Sites, in units of the cell vectors:
Na 0.0000 0.0000 0.0000
Zn 0.1990 0.1990 0.1990
Zn 0.8010 0.8010 0.8010
Cd 0.4101 0.4101 0.4101
Cd 0.5899 0.5899 0.5899
As 0.2761 0.2761 0.2761
As 0.5000 0.5000 0.5000
As 0.7239 0.7239 0.7239

Peak list (6 most intense, 10° ≤ 2θ ≤ 90°, low angle first)
- 23.3 deg, I 570
- 24.6 deg, I 209
- 26.9 deg, I 293
- 36.2 deg, I 684
- 40.7 deg, I 1000
- 43.1 deg, I 373



# 9
Diffraction record for NbCd2SiAs4. The X-ray powder pattern is theoretical, not measured: it uses the GGA-PBE geometry in OQMD and a wavelength of 1.5418 Å.
Peak positions follow from Bragg's law for the DFT cell and can differ from measured ones.

Structure:
a b c (Å): 5.9874 5.9874 11.6355
angles (deg): 90.00 90.00 90.00
Sites, in units of the cell vectors:
Nb 0.0000 0.0000 0.0000
Nb 0.5000 0.5000 0.5000
Cd 0.0000 0.0000 0.5000
Cd 0.0000 0.5000 0.2500
Cd 0.5000 0.0000 0.7500
Cd 0.5000 0.5000 0.0000
Si 0.0000 0.5000 0.7500
Si 0.5000 0.0000 0.2500
As 0.2144 0.7397 0.8715
As 0.2397 0.2856 0.6285
As 0.2603 0.2144 0.1285
As 0.2856 0.7603 0.3715
As 0.7144 0.2397 0.3715
As 0.7397 0.7856 0.1285
As 0.7603 0.7144 0.6285
As 0.7856 0.2603 0.8715

Peak list (6 most intense, 10° ≤ 2θ ≤ 90°, low angle first)
- 26.0 deg, I 1000
- 42.7 deg, I 238
- 43.4 deg, I 477
- 50.7 deg, I 281
- 51.9 deg, I 143
- 78.7 deg, I 130



# 10
Diffraction record for Cd3As2O8. The X-ray powder pattern is theoretical, not measured: it uses the GGA-PBE geometry in OQMD and a wavelength of 1.5418 Å.
Peak positions follow from Bragg's law for the DFT cell and can differ from measured ones.

Structure:
a b c (Å): 9.2928 11.8963 6.6218
angles (deg): 90.00 98.76 90.00
Sites, in units of the cell vectors:
Cd 0.0470 0.1189 0.1592
Cd 0.0470 0.3811 0.6592
Cd 0.2911 0.0868 0.6643
Cd 0.2911 0.4132 0.1643
Cd 0.3472 0.6875 0.6345
Cd 0.3472 0.8125 0.1345
Cd 0.6528 0.1875 0.8655
Cd 0.6528 0.3125 0.3655
Cd 0.7089 0.5868 0.8357
Cd 0.7089 0.9132 0.3357
Cd 0.9530 0.6189 0.3408
Cd 0.9530 0.8811 0.8408
As 0.0797 0.6350 0.8954
As 0.0797 0.8650 0.3954
As 0.3942 0.0922 0.1879
As 0.3942 0.4078 0.6879
As 0.6058 0.5922 0.3121
As 0.6058 0.9078 0.8121
As 0.9203 0.1350 0.6046
As 0.9203 0.3650 0.1046
O 0.0819 0.2015 0.5867
O 0.0819 0.2985 0.0867
O 0.0841 0.5662 0.6679
O 0.0841 0.9338 0.1679
O 0.1262 0.5581 0.1134
O 0.1262 0.9419 0.6134
O 0.1997 0.7437 0.8741
O 0.1997 0.7563 0.3741
O 0.2647 0.0719 0.9787
O 0.2647 0.4281 0.4787
O 0.2936 0.1496 0.3587
O 0.2936 0.3504 0.8587
O 0.4662 0.5372 0.7725
O 0.4662 0.9628 0.2725
O 0.4715 0.6842 0.3530
O 0.4715 0.8158 0.8530
O 0.5285 0.1842 0.1470
O 0.5285 0.3158 0.6470
O 0.5338 0.0372 0.7275
O 0.5338 0.4628 0.2275
O 0.7064 0.6496 0.1413
O 0.7064 0.8504 0.6413
O 0.7353 0.5719 0.5213
O 0.7353 0.9281 0.0213
O 0.8003 0.2437 0.6259
O 0.8003 0.2563 0.1259
O 0.8738 0.0581 0.3866
O 0.8738 0.4419 0.8866
O 0.9159 0.0662 0.8321
O 0.9159 0.4338 0.3321
O 0.9181 0.7015 0.9133
O 0.9181 0.7985 0.4133

Peak list (6 most intense, 10° ≤ 2θ ≤ 90°, low angle first)
- 24.5 deg, I 861
- 27.5 deg, I 492
- 29.5 deg, I 1000
- 30.1 deg, I 502
- 31.2 deg, I 680
- 35.6 deg, I 473



# 11
Diffraction record for CdAsO3. The X-ray powder pattern is theoretical, not measured: it uses the GGA-PBE geometry in OQMD and a wavelength of 1.5418 Å.
Peak positions follow from Bragg's law for the DFT cell and can differ from measured ones.

Structure:
a b c (Å): 6.0630 6.0630 6.0630
angles (deg): 52.81 52.81 52.81
Sites, in units of the cell vectors:
Cd 0.1486 0.1486 0.1486
Cd 0.8514 0.8514 0.8514
As 0.3711 0.3711 0.3711
As 0.6289 0.6289 0.6289
O 0.0997 0.7022 0.4488
O 0.2978 0.5512 0.9003
O 0.4488 0.0997 0.7022
O 0.5512 0.9003 0.2978
O 0.7022 0.4488 0.0997
O 0.9003 0.2978 0.5512

Peak list (6 most intense, 10° ≤ 2θ ≤ 90°, low angle first)
- 29.8 deg, I 1000
- 33.2 deg, I 725
- 45.3 deg, I 332
- 48.6 deg, I 257
- 57.3 deg, I 299
- 59.4 deg, I 232



# 12
Diffraction record for Cd2As2O5. The X-ray powder pattern is theoretical, not measured: it uses the GGA-PBE geometry in OQMD and a wavelength of 1.5418 Å.
Peak positions follow from Bragg's law for the DFT cell and can differ from measured ones.

Structure:
a b c (Å): 4.0697 4.0697 6.6793
angles (deg): 90.00 90.00 90.00
Sites, in units of the cell vectors:
Cd 0.0000 0.0000 0.0000
Cd 0.0000 0.0000 0.5000
As 0.5000 0.5000 0.2261
As 0.5000 0.5000 0.7739
O 0.0000 0.5000 0.2288
O 0.0000 0.5000 0.7712
O 0.5000 0.0000 0.2288
O 0.5000 0.0000 0.7712
O 0.5000 0.5000 0.5000

Peak list (6 most intense, 10° ≤ 2θ ≤ 90°, low angle first)
- 31.1 deg, I 575
- 34.7 deg, I 1000
- 44.5 deg, I 403
- 57.7 deg, I 451
- 64.5 deg, I 127
- 73.3 deg, I 139



# 13
Diffraction record for CdSiAsO. The X-ray powder pattern is theoretical, not measured: it uses the GGA-PBE geometry in OQMD and a wavelength of 1.5418 Å.
Peak positions follow from Bragg's law for the DFT cell and can differ from measured ones.

Structure:
a b c (Å): 3.6103 8.2969 5.4056
angles (deg): 90.00 90.00 90.00
Sites, in units of the cell vectors:
Cd 0.0000 0.1533 0.0000
Cd 0.0000 0.8467 0.5000
Si 0.5000 0.3860 0.5011
Si 0.5000 0.6140 0.0011
As 0.0000 0.2034 0.5000
As 0.0000 0.7966 0.0000
O 0.5000 0.4992 0.7520
O 0.5000 0.5008 0.2520

Peak list (6 most intense, 10° ≤ 2θ ≤ 90°, low angle first)
- 24.7 deg, I 798
- 26.9 deg, I 1000
- 32.9 deg, I 569
- 33.1 deg, I 739
- 41.7 deg, I 600
- 53.8 deg, I 693